No. 1
The following is a computed powder diffraction line list of Co3Mo. It was derived from a structure optimized by DFT (PBE), using Cu Kα, 1.54184 Å.
Neutral-atom scattering factors, no anomalous dispersion.

Top 10 peaks for 10° ≤ 2θ ≤ 80°, low angle first:
| 2θ (°) | I_rel |
| --- | --- |
| 10.7 | 6 |
| 21.6 | 3 |
| 32.6 | 3 |
| 39.6 | 27 |
| 41.1 | 4 |
| 44.0 | 24 |
| 45.5 | 100 |
| 60.6 | 14 |
| 71.7 | 5 |
| 71.9 | 11 |

Structure:
```
Co3Mo
1.0
8.2392 0.0000 0.0000
0.0000 2.6329 0.0000
0.0000 0.0000 4.5470
Co Mo
6 2
Cartesian
0.0000 0.0000 0.0000
0.0000 1.3165 2.2735
1.9443 0.0000 3.0280
1.9443 1.3165 0.7546
6.2949 0.0000 3.0280
6.2949 1.3165 0.7546
4.1196 0.0000 4.5468
4.1196 1.3165 2.2733
```

***

No. 2
The following is a computed powder diffraction line list of Co3Mo. It was derived from a structure optimized by DFT (PBE), using Cu Kα, 1.54184 Å.
Neutral-atom scattering factors, no anomalous dispersion.

Top 10 peaks for 10° ≤ 2θ ≤ 80°, low angle first:
| 2θ (°) | I_rel |
| --- | --- |
| 20.1 | 1 |
| 29.7 | 7 |
| 35.1 | 3 |
| 40.8 | 25 |
| 44.3 | 26 |
| 46.7 | 100 |
| 57.7 | 1 |
| 59.7 | 1 |
| 61.8 | 14 |
| 74.2 | 15 |

Structure:
```
Co3Mo
1.0
5.1122 0.0000 0.0000
-2.5561 4.4273 0.0000
0.0000 0.0000 4.0887
Co Mo
6 2
Cartesian
0.0000 1.4333 1.0222
-1.3148 3.7106 1.0222
1.2413 0.7167 3.0665
1.3148 3.7106 1.0222
3.8709 0.7167 3.0665
2.5561 2.9939 3.0665
0.0000 2.9515 3.0665
2.5561 1.4757 1.0222
```

***

No. 3
The following is a computed powder diffraction line list of Co2Mo3. It was derived from a structure optimized by DFT (PBE), using Cu Kα, 1.54184 Å.
Neutral-atom scattering factors, no anomalous dispersion.

Top 10 peaks for 10° ≤ 2θ ≤ 80°, low angle first:
| 2θ (°) | I_rel |
| --- | --- |
| 28.4 | 15 |
| 39.2 | 47 |
| 42.0 | 63 |
| 43.0 | 100 |
| 43.4 | 100 |
| 44.7 | 41 |
| 58.8 | 27 |
| 66.4 | 13 |
| 77.5 | 17 |
| 77.7 | 17 |

Structure:
```
Co2Mo3
1.0
4.8314 0.0000 0.0000
0.0000 4.2985 0.0000
-2.1138 0.0000 6.6918
Co Mo
4 6
Cartesian
0.4063 1.0746 0.6097
0.5681 1.0746 3.2248
2.1494 3.2239 3.4670
2.3113 3.2239 6.0821
-0.3749 3.2239 2.1929
-0.1930 3.2239 4.8278
1.8090 3.2239 0.7492
0.9086 1.0746 5.9426
2.9106 1.0746 1.8640
3.0925 1.0746 4.4989
```

***

No. 4
The following is a computed powder diffraction line list of Co3Mo. It was derived from a structure optimized by DFT (PBE), using Cu Kα, 1.54184 Å.
Neutral-atom scattering factors, no anomalous dispersion.

Top 7 peaks for 10° ≤ 2θ ≤ 80°, low angle first:
| 2θ (°) | I_rel |
| --- | --- |
| 24.8 | 6 |
| 35.3 | 4 |
| 43.6 | 100 |
| 50.8 | 47 |
| 57.3 | 2 |
| 63.4 | 2 |
| 74.7 | 28 |

Structure:
```
Co3Mo
1.0
3.5931 0.0000 0.0000
0.0000 3.5931 0.0000
0.0000 0.0000 3.5931
Co Mo
3 1
Cartesian
0.0000 0.0000 1.7966
0.0000 1.7966 0.0000
1.7966 0.0000 0.0000
1.7966 1.7966 1.7966
```

***

No. 5
The following is a computed powder diffraction line list of Co2Mo3. It was derived from a structure optimized by DFT (PBE), using Cu Kα, 1.54184 Å.
Neutral-atom scattering factors, no anomalous dispersion.

Top 10 peaks for 10° ≤ 2θ ≤ 80°, low angle first:
| 2θ (°) | I_rel |
| --- | --- |
| 25.9 | 25 |
| 37.0 | 85 |
| 38.4 | 100 |
| 40.4 | 62 |
| 42.4 | 83 |
| 43.2 | 78 |
| 50.3 | 44 |
| 53.3 | 30 |
| 60.6 | 36 |
| 78.8 | 32 |

Structure:
```
Co2Mo3
1.0
4.1873 0.0000 0.0000
0.0000 6.8740 0.0000
0.0000 0.0000 9.9171
Co Mo
8 12
Cartesian
1.0394 0.6091 0.3967
1.0394 2.8279 0.3967
1.0542 4.0461 5.3552
1.0542 6.2649 5.3552
3.1331 0.6091 4.5619
3.1331 2.8279 4.5619
3.1478 4.0461 9.5205
3.1478 6.2649 9.5205
1.0343 0.3341 3.2039
1.0343 3.1029 3.2039
1.0382 5.1555 1.2306
1.0554 1.7185 6.1892
1.0593 3.7711 8.1625
1.0593 6.5399 8.1625
3.1279 0.3341 1.7546
3.1279 3.1029 1.7546
3.1319 5.1555 3.7280
3.1490 1.7185 8.6866
3.1530 3.7711 6.7132
3.1530 6.5399 6.7132
```

***

No. 6
The following is a computed powder diffraction line list of CoMo3. It was derived from a structure optimized by DFT (PBE), using Cu Kα, 1.54184 Å.
Neutral-atom scattering factors, no anomalous dispersion.

Top 8 peaks for 10° ≤ 2θ ≤ 80°, low angle first:
| 2θ (°) | I_rel |
| --- | --- |
| 25.1 | 3 |
| 29.0 | 1 |
| 41.5 | 100 |
| 49.1 | 1 |
| 60.2 | 16 |
| 66.2 | 1 |
| 68.2 | 1 |
| 75.7 | 32 |

Structure:
```
CoMo3
1.0
6.1526 0.0000 0.0000
0.0000 6.1526 0.0000
0.0000 0.0000 6.1526
Co Mo
4 12
Cartesian
0.0000 0.0000 0.0000
0.0000 3.0763 3.0763
3.0763 0.0000 3.0763
3.0763 3.0763 0.0000
0.0000 0.0000 3.0763
0.0000 3.0763 0.0000
1.5381 1.5381 1.5381
1.5381 1.5381 4.6144
1.5381 4.6144 1.5381
1.5381 4.6144 4.6144
3.0763 0.0000 0.0000
3.0763 3.0763 3.0763
4.6144 1.5381 1.5381
4.6144 1.5381 4.6144
4.6144 4.6144 1.5381
4.6144 4.6144 4.6144
```

***

What did the fifth record say?
The following is a computed powder diffraction line list of Co2Mo3. It was derived from a structure optimized by DFT (PBE), using Cu Kα, 1.54184 Å.
Neutral-atom scattering factors, no anomalous dispersion.

Top 10 peaks for 10° ≤ 2θ ≤ 80°, low angle first:
| 2θ (°) | I_rel |
| --- | --- |
| 25.9 | 25 |
| 37.0 | 85 |
| 38.4 | 100 |
| 40.4 | 62 |
| 42.4 | 83 |
| 43.2 | 78 |
| 50.3 | 44 |
| 53.3 | 30 |
| 60.6 | 36 |
| 78.8 | 32 |

Structure:
```
Co2Mo3
1.0
4.1873 0.0000 0.0000
0.0000 6.8740 0.0000
0.0000 0.0000 9.9171
Co Mo
8 12
Cartesian
1.0394 0.6091 0.3967
1.0394 2.8279 0.3967
1.0542 4.0461 5.3552
1.0542 6.2649 5.3552
3.1331 0.6091 4.5619
3.1331 2.8279 4.5619
3.1478 4.0461 9.5205
3.1478 6.2649 9.5205
1.0343 0.3341 3.2039
1.0343 3.1029 3.2039
1.0382 5.1555 1.2306
1.0554 1.7185 6.1892
1.0593 3.7711 8.1625
1.0593 6.5399 8.1625
3.1279 0.3341 1.7546
3.1279 3.1029 1.7546
3.1319 5.1555 3.7280
3.1490 1.7185 8.6866
3.1530 3.7711 6.7132
3.1530 6.5399 6.7132
```